For Eu3Cu8Sn4, DFT lattice parameters and positions (PBE) gives the theoretical powder XRD pattern in this record (CuKα).
Intensities are scaled so that the largest is 100.

Most intense lines, 10 to 90 degrees two-theta, most intense first:
| index | two_theta | I_rel |
| --- | --- | --- |
| 2 0 2 | 31.92 | 100 |
| 2 2 0 | 38.95 | 98 |
| 3 0 1 | 35.51 | 37 |
| 3 2 3 | 61.67 | 33 |
| 1 0 3 | 36.10 | 32 |
| 2 1 1 | 31.67 | 28 |
| 2 1 2 | 37.51 | 27 |
| 2 0 3 | 41.20 | 23 |

Cell and atoms:
```
data_Eu3Cu8Sn4
_cell_length_a 9.2497
_cell_length_b 9.2497
_cell_length_c 7.8533
_cell_angle_alpha 90.00
_cell_angle_beta 90.00
_cell_angle_gamma 120.00
_symmetry_space_group_name_H-M 'P 63 m c'
_symmetry_Int_Tables_number 186
_symmetry_space_group_name_Hall 'P 6c -2c'
loop_
_atom_site_label
_atom_site_type_symbol
_atom_site_fract_x
_atom_site_fract_y
_atom_site_fract_z
_atom_site_occupancy
Eu1 Eu 0.0503 0.5252 0.0000 1
Cu1 Cu 0.0000 0.0000 0.2725 1
Cu2 Cu 0.0996 0.1993 0.0197 1
Cu3 Cu 0.1627 0.3253 0.3240 1
Cu4 Cu 0.3333 0.6667 0.6701 1
Sn1 Sn 0.1675 0.3351 0.7043 1
Sn2 Sn 0.3333 0.6667 0.3156 1
```

***

For Eu2CuTe4, DFT lattice parameters and positions (PBE) gives the theoretical powder XRD pattern in this record (CuKα).
Intensities are scaled so that the largest is 100.

Most intense lines, 10 to 90 degrees two-theta, most intense first:
| index | two_theta | I_rel |
| --- | --- | --- |
| 1 1 2 | 33.45 | 100 |
| 2 0 0 | 40.05 | 51 |
| 1 1 1 | 29.47 | 39 |
| 1 0 3 | 33.65 | 39 |
| 3 1 2 | 68.57 | 24 |
| 2 1 3 | 53.28 | 21 |
| 0 0 3 | 27.00 | 20 |
| 1 0 5 | 50.30 | 20 |

Cell and atoms:
```
data_Eu2CuTe4
_cell_length_a 4.5029
_cell_length_b 4.5029
_cell_length_c 9.9085
_cell_angle_alpha 90.00
_cell_angle_beta 90.00
_cell_angle_gamma 90.00
_symmetry_space_group_name_H-M 'P -4 m 2'
_symmetry_Int_Tables_number 115
_symmetry_space_group_name_Hall 'P -4 -2'
loop_
_atom_site_label
_atom_site_type_symbol
_atom_site_fract_x
_atom_site_fract_y
_atom_site_fract_z
_atom_site_occupancy
Eu1 Eu 0.0000 0.5000 0.2398 1
Cu1 Cu 0.0000 0.0000 0.0000 1
Te1 Te 0.0000 0.0000 0.5000 1
Te2 Te 0.0000 0.5000 0.8589 1
Te3 Te 0.5000 0.5000 0.5000 1
```